Structure and computed X-ray diffraction stick pattern of Nd6Al7Si5N3O25 (a crystal structure in the Materials Project, relaxed with PBE; Cu Kα X-rays).
Kinematic intensities with the Lorentz-polarization factor, no thermal factor.

Top 8 peaks for 2θ = 10–80°, in order of rising 2θ:
17.9°, d 4.964, rel. 76, hkl 0 0 2
22.2°, d 4.010, rel. 61, hkl 2 1 0
28.4°, d 3.144, rel. 97, hkl 1 2 2
28.5°, d 3.133, rel. 100, hkl 2 1 2
28.8°, d 3.100, rel. 94, hkl 1 2 -2
31.1°, d 2.875, rel. 33, hkl 0 2 2
31.3°, d 2.858, rel. 82, hkl 2 0 2
38.6°, d 2.331, rel. 39, hkl 0 3 0

Structural model:
```
data_Nd6Al7Si5N3O25
_cell_length_a 8.019
_cell_length_b 8.023
_cell_length_c 9.929
_cell_angle_alpha 89.13
_cell_angle_beta 89.41
_cell_angle_gamma 60.67
_symmetry_space_group_name_H-M 'P 1'
_symmetry_Int_Tables_number 1
loop_
_symmetry_equiv_pos_as_xyz
'x,y,z'
loop_
_atom_site_label
_atom_site_type_symbol
_atom_site_fract_x
_atom_site_fract_y
_atom_site_fract_z
Nd1 Nd 0.000 0.000 0.000
Nd2 Nd 0.000 0.013 0.509
Nd3 Nd 0.173 0.426 0.511
Nd4 Nd 0.179 0.420 0.009
Nd5 Nd 0.585 0.602 0.002
Nd6 Nd 0.594 0.604 0.515
Al1 Al 0.349 0.015 0.756
Al2 Al 0.352 0.049 0.240
Al3 Al 0.573 0.261 0.266
Al4 Al 0.577 0.016 0.510
Al5 Al 0.582 0.250 0.763
Al6 Al 0.583 0.021 0.013
Al7 Al 0.832 0.768 0.259
Si1 Si 0.247 0.683 0.778
Si2 Si 0.257 0.687 0.279
Si3 Si 0.846 0.754 0.759
Si4 Si 0.914 0.344 0.238
Si5 Si 0.916 0.350 0.740
N1 N 0.044 0.717 0.850
N2 N 0.433 0.217 0.146
N3 N 0.889 0.553 0.668
O1 O 0.057 0.705 0.346
O2 O 0.104 0.169 0.167
O3 O 0.113 0.166 0.677
O4 O 0.253 0.685 0.612
O5 O 0.262 0.673 0.115
O6 O 0.269 0.870 0.340
O7 O 0.292 0.847 0.846
O8 O 0.354 0.146 0.402
O9 O 0.369 0.148 0.887
O10 O 0.427 0.491 0.354
O11 O 0.428 0.484 0.841
O12 O 0.449 0.233 0.629
O13 O 0.483 0.886 0.618
O14 O 0.500 0.867 0.119
O15 O 0.677 0.800 0.875
O16 O 0.679 0.794 0.393
O17 O 0.708 0.122 0.905
O18 O 0.715 0.109 0.401
O19 O 0.728 0.337 0.177
O20 O 0.746 0.313 0.673
O21 O 0.798 0.924 0.641
O22 O 0.813 0.918 0.125
O23 O 0.901 0.542 0.174
O24 O 0.916 0.343 0.906
O25 O 0.921 0.340 0.403
```